Diffraction record for Li5Mn2P2C2O14. The X-ray diffraction stick pattern is simulated, not measured: it uses a structure optimized by DFT (GGA+U) and CuKα.
No peak broadening, texture or thermal motion is included.

Structural model:
```
data_Li5Mn2P2C2O14
_symmetry_space_group_name_H-M 'P 1'
_symmetry_Int_Tables_number 1
_cell_length_a 5.0697
_cell_length_b 6.4686
_cell_length_c 8.5600
_cell_angle_alpha 91.13
_cell_angle_beta 95.08
_cell_angle_gamma 90.06
loop_
_symmetry_equiv_pos_as_xyz
'x,y,z'
loop_
_atom_site_label
_atom_site_fract_x
_atom_site_fract_y
_atom_site_fract_z
Li1 0.0000 0.0000 0.0000
Li2 0.0036 0.4583 0.0069
Li3 0.0725 0.7285 0.6256
Li4 0.4988 0.2405 0.8361
Li5 0.5477 0.9589 0.4676
Mn1 0.0750 0.2432 0.4036
Mn2 0.4791 0.7357 0.0730
P1 0.0004 0.7463 0.3203
P2 0.5391 0.2325 0.1481
C1 0.5967 0.7496 0.7778
C2 0.9732 0.2276 0.6977
O1 0.0675 0.5544 0.4209
O2 0.1103 0.7316 0.1563
O3 0.1325 0.9254 0.4254
O4 0.2202 0.2420 0.6753
O5 0.3470 0.7364 0.7962
O6 0.4307 0.0495 0.0371
O7 0.4342 0.2273 0.3098
O8 0.4353 0.4207 0.0472
O9 0.6921 0.7804 0.6479
O10 0.6998 0.7853 0.2925
O11 0.7622 0.7327 0.9082
O12 0.8031 0.2140 0.5742
O13 0.8478 0.2332 0.1646
O14 0.8903 0.2297 0.8378
```

Main lines, by angle (2θ = 15–90°):
2θ (°)  d_spacing  I (rel.)  index
19.62  4.524  39  1 0 -1
21.23  4.185  67  1 0 1
25.49  3.494  14  1 1 1
26.14  3.410  33  1 0 -2
27.58  3.234  100  0 2 0
31.48  2.842  16  0 0 3
36.20  2.482  30  2 0 -1
40.02  2.253  13  1 -1 3
40.50  2.227  17  1 1 3
56.99  1.616  27  0 4 0


Diffraction record for FePH6NO5. The X-ray diffraction stick pattern is simulated, not measured: it uses a structure optimized by DFT (GGA+U) and CuKα.
No peak broadening, texture or thermal motion is included.

Structural model:
```
data_FePH6NO5
_symmetry_space_group_name_H-M 'P 1 21 1'
_symmetry_Int_Tables_number 4
_cell_length_a 9.0146
_cell_length_b 4.8325
_cell_length_c 11.4315
_cell_angle_alpha 90.00
_cell_angle_beta 90.03
_cell_angle_gamma 90.00
loop_
_symmetry_equiv_pos_as_xyz
'x,y,z'
'-x,y+1/2,-z'
loop_
_atom_site_label
_atom_site_fract_x
_atom_site_fract_y
_atom_site_fract_z
Fe1 0.0232 0.0000 0.3751
Fe2 0.0236 0.9966 0.8756
P1 0.1955 0.9326 0.6262
P2 0.1963 0.9278 0.1264
H1 0.1906 0.4322 0.4437
H2 0.1906 0.4369 0.3066
H3 0.1917 0.4386 0.8082
H4 0.1939 0.4256 0.9452
H5 0.4109 0.8805 0.3009
H6 0.4120 0.8805 0.8014
H7 0.4126 0.8819 0.4498
H8 0.4137 0.8802 0.9510
H9 0.4532 0.5522 0.1244
H10 0.4544 0.5544 0.6256
H11 0.4579 0.1936 0.1243
H12 0.4579 0.1954 0.6253
N1 0.4771 0.8779 0.3748
N2 0.4778 0.8761 0.8756
O1 0.1156 0.7772 0.0215
O2 0.1211 0.7806 0.5193
O3 0.1260 0.7897 0.7376
O4 0.1317 0.7855 0.2391
O5 0.1636 0.2440 0.6245
O6 0.1658 0.2392 0.1254
O7 0.2028 0.3117 0.3746
O8 0.2065 0.3106 0.8746
O9 0.3662 0.8834 0.6245
O10 0.3668 0.8764 0.1198
```

Main lines, by angle (2θ = 15–90°):
2θ (°)  d_spacing  I (rel.)  index
18.38  4.827  16  1 0 -2
20.86  4.259  23  1 1 0
26.09  3.415  20  1 1 2
31.32  2.856  100  0 0 4
37.22  2.416  9  0 2 0
37.91  2.373  8  1 1 4
38.63  2.330  19  3 1 -2
41.83  2.159  11  2 1 4
50.49  1.808  9  1 2 -4
55.74  1.649  15  2 1 6